# 1
Starting from a crystal structure in Alexandria, relaxed with GGA-PBE, the powder XRD pattern of Cs6Au2ClF3 was simulated for CuKα.
Kinematic intensities with the Lorentz-polarization factor, no thermal factor.

Structure:
```
data_Cs6Au2ClF3
_symmetry_space_group_name_H-M 'C 1 2/m 1'
_symmetry_Int_Tables_number 12
_symmetry_space_group_name_Hall '-C 2y'
_cell_length_a 20.9717
_cell_length_b 4.7033
_cell_length_c 9.3271
_cell_angle_alpha 90.00
_cell_angle_beta 111.57
_cell_angle_gamma 90.00
loop_
_atom_site_label
_atom_site_fract_x
_atom_site_fract_y
_atom_site_fract_z
Cs1 0.0054 0.0000 0.2708
Cs2 0.1465 0.5000 0.6609
Cs3 0.1802 0.5000 0.1139
Au1 0.2038 0.0000 0.4395
Cl1 0.0000 0.5000 0.0000
F1 0.0000 0.5000 0.5000
F2 0.1607 0.0000 0.8753
```

Top 10 peaks for 10° ≤ 2θ ≤ 80°, low angle first:
hkl, two_theta, intensity
0 0 1, 10.20, 47
3 1 0, 23.36, 41
1 1 -2, 27.09, 100
6 0 0, 27.45, 48
6 0 -2, 27.62, 40
5 1 -1, 28.58, 41
4 0 -3, 29.58, 52
3 1 2, 34.52, 36
7 1 -2, 36.65, 46
0 2 0, 38.27, 43


# 2
Starting from a crystal structure in Alexandria, relaxed with GGA-PBE, the powder XRD pattern of Dy7Y2Mg2 was simulated for CuKα.
Kinematic intensities with the Lorentz-polarization factor, no thermal factor.

Structure:
```
data_Dy7Y2Mg2
_symmetry_space_group_name_H-M 'P -1'
_symmetry_Int_Tables_number 2
_symmetry_space_group_name_Hall '-P 1'
_cell_length_a 6.1279
_cell_length_b 6.4433
_cell_length_c 8.6824
_cell_angle_alpha 99.03
_cell_angle_beta 96.16
_cell_angle_gamma 92.98
loop_
_atom_site_label
_atom_site_fract_x
_atom_site_fract_y
_atom_site_fract_z
Dy1 0.0000 0.0000 0.0000
Dy2 0.0371 0.4366 0.7983
Dy3 0.4429 0.3481 0.1307
Dy4 0.4640 0.1130 0.7566
Y1 0.1344 0.1611 0.4073
Mg1 0.3275 0.6558 0.5147
```

Top 10 peaks for 10° ≤ 2θ ≤ 80°, low angle first:
hkl, two_theta, intensity
0 0 1, 10.39, 34
1 1 0, 20.90, 22
-1 1 2, 29.14, 33
2 0 0, 29.39, 36
1 -2 1, 31.67, 43
1 2 -1, 32.37, 100
1 1 2, 32.50, 56
-1 2 1, 33.59, 20
2 -1 1, 33.85, 19
2 0 -2, 34.18, 21


# 3
Starting from a crystal structure in Alexandria, relaxed with GGA-PBE, the powder XRD pattern of CeHo6Tm was simulated for CuKα.
Kinematic intensities with the Lorentz-polarization factor, no thermal factor.

Structure:
```
data_CeHo6Tm
_symmetry_space_group_name_H-M 'P 4/m m m'
_symmetry_Int_Tables_number 123
_symmetry_space_group_name_Hall '-P 4 2'
_cell_length_a 4.9780
_cell_length_b 4.9780
_cell_length_c 9.9477
_cell_angle_alpha 90.00
_cell_angle_beta 90.00
_cell_angle_gamma 90.00
loop_
_atom_site_label
_atom_site_fract_x
_atom_site_fract_y
_atom_site_fract_z
Ce1 0.0000 0.0000 0.0000
Ho1 0.0000 0.5000 0.2498
Ho2 0.5000 0.5000 0.0000
Ho3 0.5000 0.5000 0.5000
Tm1 0.0000 0.0000 0.5000
```

Top 6 peaks for 10° ≤ 2θ ≤ 80°, low angle first:
hkl, two_theta, intensity
1 1 2, 31.13, 100
2 0 0, 36.10, 51
2 2 0, 51.97, 36
3 1 2, 61.83, 43
2 2 4, 64.91, 12
4 0 0, 76.58, 6


# 4
Starting from a crystal structure in Alexandria, relaxed with GGA-PBE, the powder XRD pattern of NaClF4 was simulated for CuKα.
Kinematic intensities with the Lorentz-polarization factor, no thermal factor.

Structure:
```
data_NaClF4
_symmetry_space_group_name_H-M 'I -4 m 2'
_symmetry_Int_Tables_number 119
_symmetry_space_group_name_Hall 'I -4 -2'
_cell_length_a 5.7563
_cell_length_b 5.7563
_cell_length_c 5.8622
_cell_angle_alpha 90.00
_cell_angle_beta 90.00
_cell_angle_gamma 90.00
loop_
_atom_site_label
_atom_site_fract_x
_atom_site_fract_y
_atom_site_fract_z
Na1 0.0000 0.0000 0.0000
Cl1 0.0000 0.5000 0.2500
F1 0.2253 0.2747 0.2500
```

Top 10 peaks for 10° ≤ 2θ ≤ 80°, low angle first:
hkl, two_theta, intensity
1 0 1, 21.64, 100
0 0 2, 30.50, 28
1 1 2, 37.82, 27
2 1 1, 38.18, 16
2 0 2, 44.10, 18
2 2 0, 44.52, 36
1 0 3, 49.24, 9
2 2 2, 54.92, 12
3 1 2, 59.81, 10
3 2 1, 60.06, 15